Computed powder X-ray diffraction pattern of Ba4Pa3CuO12 for Cu Kα, 1.54184 Å, from DFT lattice parameters and positions (PBE).

Largest 6 diffraction maxima, low angle first, 10 to 90 degrees two-theta:
index  2theta  I_rel
2 2 0  28.45  100.0
4 0 0  40.68  28.4
4 2 2  50.39  42.3
4 4 0  58.88  18.5
6 2 0  66.67  18.9
6 4 2  81.12  22.3

Crystal structure
```
data_Ba4Pa3CuO12
_chemical_formula_sum 'Ba8 Pa6 Cu2 O24'
_cell_length_a 8.872
_cell_length_b 8.872
_cell_length_c 8.872
_cell_angle_alpha 90.00
_cell_angle_beta 90.00
_cell_angle_gamma 90.00
_symmetry_space_group_name_H-M 'I m -3 m'
_symmetry_Int_Tables_number 229
_symmetry_space_group_name_Hall '-I 4 2 3'
loop_
_atom_site_label
_atom_site_fract_x
_atom_site_fract_y
_atom_site_fract_z
_atom_site_occupancy
Ba1 0.250 0.250 0.250 1
Pa1 0.000 0.000 0.500 1
Cu1 0.000 0.000 0.000 1
O1 0.000 0.000 0.266 1
O2 0.000 0.250 0.500 1
```